No. 1
Structure and computed PXRD pattern of LiIn4Ge4O14 (a cell relaxed with PBE; CuKα).
No peak broadening, texture or thermal motion is included.

Structure:
abc: 10.0531 10.0531 10.0531
angles: 90.00 90.00 90.00
Space group F-43m (No. 216)
Unique sites:
Li1 0.0000 0.0000 0.0000
In1 0.1250 0.1250 0.6250
Ge1 0.1313 0.1313 0.1313
O1 0.0000 0.0000 0.1998
O2 0.0000 0.0000 0.5000
O3 0.0486 0.2500 0.2500
O4 0.2500 0.2500 0.7500

Peak list (10 most intense, 2θ from 5° to 70°, in order of falling intensity)
hkl, Position (°2θ), I/Imax
2 2 2, 30.81, 100
4 4 0, 51.42, 47
6 2 2, 61.15, 40
4 0 0, 35.73, 28
4 4 4, 64.19, 9
3 3 1, 39.06, 7
5 1 1, 46.96, 3
1 1 1, 15.27, 3
3 1 1, 29.47, 2
5 3 1, 53.96, 2

No. 2
Structure and computed PXRD pattern of LiIn2Ge2Pd5 (a cell relaxed with PBE; CuKα).
No peak broadening, texture or thermal motion is included.

Structure:
abc: 10.2061 10.2061 3.2761
angles: 90.00 90.00 90.00
Space group P4/mbm (No. 127)
Unique sites:
Li1 0.0000 0.0000 0.0000
In1 0.1730 0.3270 0.0000
Ge1 0.1411 0.6411 0.0000
Pd1 0.0000 0.5000 0.5000
Pd2 0.0148 0.7925 0.5000

Peak list (10 most intense, 2θ from 5° to 70°, in order of falling intensity)
hkl, Position (°2θ), I/Imax
3 1 1, 39.18, 100
3 3 0, 37.38, 98
4 0 1, 45.03, 81
2 0 1, 32.48, 44
2 2 1, 37.06, 42
3 3 2, 69.41, 30
1 1 0, 12.26, 26
0 0 2, 56.15, 23
6 0 0, 53.90, 22
4 1 0, 36.29, 22

No. 3
Structure and computed PXRD pattern of Li2In2GeSe6 (a cell relaxed with PBE; CuKα).
No peak broadening, texture or thermal motion is included.

Structure:
abc: 12.9748 7.5957 12.9050
angles: 90.00 109.87 90.00
Space group Cc (No. 9)
Unique sites:
Li1 0.0000 0.1039 0.0000
Li2 0.2918 0.2039 0.8362
In1 0.1553 0.4285 0.4928
In2 0.4810 0.0923 0.1889
Ge1 0.2277 0.2697 0.2499
Se1 0.0343 0.2527 0.1946
Se2 0.1056 0.2738 0.8797
Se3 0.2757 0.0163 0.1686
Se4 0.2977 0.4729 0.6959
Se5 0.3035 0.2400 0.4434
Se6 0.4845 0.2470 0.0068

Peak list (10 most intense, 2θ from 5° to 70°, in order of falling intensity)
hkl, Position (°2θ), I/Imax
1 1 0, 13.73, 100
4 0 -2, 27.90, 75
2 2 -2, 28.93, 74
3 1 -1, 23.72, 72
0 0 4, 29.44, 60
1 1 3, 28.04, 49
1 1 1, 16.69, 48
0 2 2, 27.69, 48
1 3 -3, 41.35, 47
6 0 -4, 44.42, 47